Diffraction record for NpSn2Se4. The powder diffraction line list is simulated, not measured: it uses a cell relaxed with PBE and CuKα.
Kinematic intensities with the Lorentz-polarization factor, no thermal factor.

Cell and atoms:
a = 8.682 Å, b = 8.682 Å, c = 12.015 Å
α = 90.00°, β = 90.00°, γ = 90.00°
Space group P4_122 (No. 91)
Unique sites:
Np1 0.000 0.251 0.000 (multiplicity 4)
Sn1 0.247 0.247 0.375 (multiplicity 4)
Sn2 0.255 0.500 0.750 (multiplicity 4)
Se1 0.027 0.240 0.763 (multiplicity 8)
Se2 0.237 0.475 0.001 (multiplicity 8)

Top 6 peaks for 2θ from 10° to 90°, in order of rising 2θ:
| Position (°2θ) | d_spacing | intensity | h k l |
| --- | --- | --- | --- |
| 24.09 | 3.695 | 85 | 2 1 1 |
| 24.48 | 3.637 | 51 | 1 0 3 |
| 29.09 | 3.070 | 65 | 2 2 0 |
| 38.11 | 2.361 | 53 | 3 2 1 |
| 41.61 | 2.171 | 50 | 4 0 0 |
| 42.09 | 2.147 | 100 | 2 2 4 |

Diffraction record for NpTa2Tl2Se6. The powder diffraction line list is simulated, not measured: it uses a cell relaxed with PBE and CuKα.
Kinematic intensities with the Lorentz-polarization factor, no thermal factor.

Cell and atoms:
a = 6.730 Å, b = 11.022 Å, c = 8.306 Å
α = 90.00°, β = 100.17°, γ = 90.00°
Space group C2/m (No. 12)
Unique sites:
Np1 0.000 0.000 0.000 (multiplicity 2)
Ta1 0.000 0.364 0.000 (multiplicity 4)
Tl1 0.000 0.172 0.500 (multiplicity 4)
Se1 0.208 0.500 0.220 (multiplicity 4)
Se2 0.231 0.183 0.185 (multiplicity 8)

Top 6 peaks for 2θ from 10° to 90°, in order of rising 2θ:
| Position (°2θ) | d_spacing | intensity | h k l |
| --- | --- | --- | --- |
| 10.82 | 8.175 | 39 | 0 0 1 |
| 30.76 | 2.907 | 100 | 1 3 1 |
| 31.62 | 2.829 | 52 | 2 0 -2 |
| 37.86 | 2.376 | 25 | 2 0 2 |
| 41.58 | 2.172 | 37 | 1 3 -3 |
| 47.67 | 1.908 | 42 | 3 3 -1 |

Diffraction record for TbNpSe. The powder diffraction line list is simulated, not measured: it uses a cell relaxed with PBE and CuKα.
Kinematic intensities with the Lorentz-polarization factor, no thermal factor.

Cell and atoms:
a = 16.874 Å, b = 3.804 Å, c = 4.207 Å
α = 90.00°, β = 90.00°, γ = 90.00°
Space group Pnma (No. 62)
Unique sites:
Tb1 0.180 0.250 0.241 (multiplicity 4)
Np1 0.003 0.750 0.190 (multiplicity 4)
Se1 0.143 0.750 0.738 (multiplicity 4)

Top 6 peaks for 2θ from 10° to 90°, in order of rising 2θ:
| Position (°2θ) | d_spacing | intensity | h k l |
| --- | --- | --- | --- |
| 10.49 | 8.437 | 41 | 2 0 0 |
| 31.82 | 2.812 | 46 | 6 0 0 |
| 33.49 | 2.676 | 100 | 2 1 1 |
| 38.38 | 2.345 | 64 | 4 1 1 |
| 43.00 | 2.104 | 19 | 0 0 2 |
| 54.32 | 1.689 | 29 | 8 1 1 |

Diffraction record for Tb3NpSe6. The powder diffraction line list is simulated, not measured: it uses a cell relaxed with PBE and CuKα.
Kinematic intensities with the Lorentz-polarization factor, no thermal factor.

Cell and atoms:
a = 11.633 Å, b = 4.123 Å, c = 11.870 Å
α = 90.00°, β = 108.97°, γ = 90.00°
Space group P2_1/m (No. 11)
Unique sites:
Tb1 0.068 0.250 0.167 (multiplicity 2)
Tb2 0.181 0.750 0.502 (multiplicity 2)
Tb3 0.342 0.250 0.918 (multiplicity 2)
Np1 0.454 0.250 0.309 (multiplicity 2)
Se1 0.019 0.250 0.384 (multiplicity 2)
Se2 0.104 0.250 0.936 (multiplicity 2)
Se3 0.246 0.750 0.277 (multiplicity 2)
Se4 0.307 0.750 0.750 (multiplicity 2)
Se5 0.386 0.250 0.538 (multiplicity 2)
Se6 0.417 0.750 0.100 (multiplicity 2)

Top 6 peaks for 2θ from 10° to 90°, in order of rising 2θ:
| Position (°2θ) | d_spacing | intensity | h k l |
| --- | --- | --- | --- |
| 22.47 | 3.956 | 55 | 1 0 -3 |
| 22.95 | 3.875 | 86 | 3 0 -1 |
| 29.68 | 3.010 | 100 | 2 1 1 |
| 32.68 | 2.740 | 77 | 3 1 0 |
| 40.24 | 2.241 | 90 | 4 1 -3 |
| 43.93 | 2.061 | 61 | 0 2 0 |

Diffraction record for TbNpSe4. The powder diffraction line list is simulated, not measured: it uses a cell relaxed with PBE and CuKα.
Kinematic intensities with the Lorentz-polarization factor, no thermal factor.

Cell and atoms:
a = 9.277 Å, b = 9.406 Å, c = 4.248 Å
α = 90.00°, β = 90.00°, γ = 90.00°
Space group Cmmm (No. 65)
Unique sites:
Tb1 0.000 0.000 0.000 (multiplicity 2)
Np1 0.000 0.500 0.500 (multiplicity 2)
Se1 0.000 0.309 0.000 (multiplicity 4)
Se2 0.205 0.000 0.500 (multiplicity 4)

Top 6 peaks for 2θ from 10° to 90°, in order of rising 2θ:
| Position (°2θ) | d_spacing | intensity | h k l |
| --- | --- | --- | --- |
| 18.87 | 4.703 | 100 | 0 2 0 |
| 19.13 | 4.638 | 89 | 2 0 0 |
| 24.92 | 3.573 | 90 | 1 1 1 |
| 36.93 | 2.434 | 96 | 1 3 1 |
| 37.21 | 2.416 | 80 | 3 1 1 |
| 46.45 | 1.955 | 89 | 3 3 1 |

Diffraction record for TbNp2Se4. The powder diffraction line list is simulated, not measured: it uses a cell relaxed with PBE and CuKα.
Kinematic intensities with the Lorentz-polarization factor, no thermal factor.

Cell and atoms:
a = 8.192 Å, b = 8.235 Å, c = 11.544 Å
α = 90.00°, β = 90.00°, γ = 90.00°
Space group Imma (No. 74)
Unique sites:
Tb1 0.250 0.250 0.250 (multiplicity 4)
Np1 0.000 0.000 0.000 (multiplicity 4)
Np2 0.250 0.250 0.750 (multiplicity 4)
Se1 0.000 0.001 0.256 (multiplicity 8)
Se2 0.246 0.250 0.002 (multiplicity 8)

Top 6 peaks for 2θ from 10° to 90°, in order of rising 2θ:
| Position (°2θ) | d_spacing | intensity | h k l |
| --- | --- | --- | --- |
| 13.25 | 6.683 | 46 | 1 0 1 |
| 26.64 | 3.346 | 29 | 2 0 2 |
| 30.79 | 2.904 | 100 | 2 2 0 |
| 30.99 | 2.886 | 49 | 0 0 4 |
| 44.24 | 2.047 | 93 | 4 0 0 |
| 72.96 | 1.297 | 26 | 6 2 0 |